Calculated powder XRD pattern of Mg4Si7 for Cu Ka, from a structure optimized by DFT (GGA-PBE).
Peak positions follow from Bragg's law for the DFT cell and can differ from measured ones.

Most intense lines, 2θ from 10° to 90°, sorted by position:
2theta  I (rel.)
34.68  100.0
35.40  45.2
36.43  53.5
37.28  29.2
37.80  80.0
38.93  20.6
39.49  18.2
40.49  19.2
40.61  22.3
41.41  28.4
45.79  75.2
62.80  21.9

Structural model:
Cell lengths 28.7985, 3.9635, 6.8616 Å; angles 90.00, 94.19, 90.00 degrees
Space group Cm (No. 8)
Asymmetric unit:
1 Mg 0.0000 0.0000 0.0000 x2
2 Mg 0.0383 0.5000 0.3246 x2
3 Mg 0.0771 0.5000 0.8631 x2
4 Mg 0.2054 0.0000 0.5844 x2
5 Mg 0.2864 0.5000 0.6356 x2
6 Mg 0.3303 0.5000 0.1170 x2
7 Mg 0.4213 0.0000 0.1567 x2
8 Mg 0.4606 0.0000 0.6705 x2
9 Si 0.0303 0.0000 0.6330 x2
10 Si 0.0953 0.0000 0.1621 x2
11 Si 0.1117 0.0000 0.5756 x2
12 Si 0.1352 0.5000 0.3756 x2
13 Si 0.1489 0.0000 0.9112 x2
14 Si 0.2038 0.5000 0.9069 x2
15 Si 0.2157 0.5000 0.2678 x2
16 Si 0.2672 0.0000 0.2799 x2
17 Si 0.2696 0.0000 0.9175 x2
18 Si 0.3451 0.0000 0.4553 x2
19 Si 0.3507 0.0000 0.8230 x2
20 Si 0.3958 0.5000 0.4846 x2
21 Si 0.4058 0.5000 0.8499 x2
22 Si 0.4717 0.5000 0.3658 x2

Calculated powder XRD pattern of Mg5Si6 for Cu Ka, from a structure optimized by DFT (GGA-PBE).
Peak positions follow from Bragg's law for the DFT cell and can differ from measured ones.

Most intense lines, 2θ from 10° to 90°, sorted by position:
2theta  I (rel.)
13.64  32.2
29.68  24.0
31.59  53.0
34.72  27.3
35.61  26.7
35.76  85.3
36.41  36.1
37.46  51.9
38.90  42.9
42.12  26.6
43.36  37.0
44.30  100.0

Structural model:
Cell lengths 7.8849, 4.0914, 13.3904 Å; angles 90.00, 95.56, 90.00 degrees
Space group Pm (No. 6)
Asymmetric unit:
1 Mg 0.0000 0.0000 0.0000 x1
2 Mg 0.0289 0.0000 0.5044 x1
3 Mg 0.1121 0.0000 0.7507 x1
4 Mg 0.2995 0.5000 0.1909 x1
5 Mg 0.4586 0.0000 0.6178 x1
6 Mg 0.5572 0.0000 0.8735 x1
7 Mg 0.5973 0.0000 0.3782 x1
8 Mg 0.6516 0.0000 0.1056 x1
9 Mg 0.7440 0.5000 0.7104 x1
10 Mg 0.9479 0.0000 0.2720 x1
11 Si 0.1862 0.5000 0.6162 x1
12 Si 0.2614 0.0000 0.3540 x1
13 Si 0.2759 0.5000 0.9241 x1
14 Si 0.3272 0.5000 0.4558 x1
15 Si 0.3362 0.0000 0.0273 x1
16 Si 0.3981 0.5000 0.7590 x1
17 Si 0.6205 0.5000 0.5219 x1
18 Si 0.6831 0.5000 0.2450 x1
19 Si 0.7601 0.5000 0.9656 x1
20 Si 0.8385 0.5000 0.4110 x1
21 Si 0.9134 0.5000 0.1333 x1
22 Si 0.9842 0.5000 0.8579 x1

Calculated powder XRD pattern of Mg4Si7 for Cu Ka, from a structure optimized by DFT (GGA-PBE).
Peak positions follow from Bragg's law for the DFT cell and can differ from measured ones.

Most intense lines, 2θ from 10° to 90°, sorted by position:
2theta  I (rel.)
31.00  35.4
33.44  55.9
33.86  40.5
34.89  84.8
35.16  57.0
35.44  36.5
36.94  79.0
37.89  54.7
39.22  37.6
39.33  53.5
40.94  42.0
45.16  100.0

Structural model:
Cell lengths 4.0190, 7.1236, 14.4138 Å; angles 95.48, 97.29, 92.49 degrees
Space group P1 (No. 1)
Asymmetric unit:
1 Mg 0.0000 0.0000 0.0000 x1
2 Mg 0.0338 0.6017 0.1078 x1
3 Mg 0.2343 0.5853 0.5350 x1
4 Mg 0.3173 0.0506 0.5933 x1
5 Mg 0.3522 0.4598 0.7517 x1
6 Mg 0.4102 0.9786 0.8231 x1
7 Mg 0.4824 0.8855 0.2896 x1
8 Mg 0.8243 0.7672 0.6793 x1
9 Si 0.0407 0.2569 0.2327 x1
10 Si 0.0581 0.0934 0.3864 x1
11 Si 0.0738 0.5756 0.2952 x1
12 Si 0.4319 0.3541 0.9879 x1
13 Si 0.4408 0.6963 0.9612 x1
14 Si 0.4946 0.2069 0.1372 x1
15 Si 0.5688 0.8733 0.1109 x1
16 Si 0.6112 0.2559 0.4524 x1
17 Si 0.6221 0.5663 0.3893 x1
18 Si 0.7658 0.8584 0.4905 x1
19 Si 0.7778 0.3782 0.6153 x1
20 Si 0.8767 0.1546 0.7297 x1
21 Si 0.8919 0.3144 0.8869 x1
22 Si 0.8986 0.6722 0.8603 x1

Calculated powder XRD pattern of Mg3Si4 for Cu Ka, from a structure optimized by DFT (GGA-PBE).
Peak positions follow from Bragg's law for the DFT cell and can differ from measured ones.

Most intense lines, 2θ from 10° to 90°, sorted by position:
2theta  I (rel.)
31.98  62.7
35.16  81.0
35.60  50.7
36.31  40.6
37.61  41.6
38.75  100.0
40.16  99.8
40.58  48.2
41.87  52.8
43.26  85.5
50.31  74.1
67.49  35.0

Structural model:
Cell lengths 18.0249, 3.6274, 9.0664 Å; angles 90.00, 118.07, 90.00 degrees
Space group Cm (No. 8)
Asymmetric unit:
1 Mg 0.0000 0.0000 0.0000 x2
2 Mg 0.0082 0.5000 0.2933 x2
3 Mg 0.0789 0.0000 0.6054 x2
4 Mg 0.2058 0.5000 0.8775 x2
5 Mg 0.2669 0.0000 0.4318 x2
6 Mg 0.3245 0.0000 0.7910 x2
7 Si 0.0401 0.5000 0.8110 x2
8 Si 0.1384 0.5000 0.2241 x2
9 Si 0.1717 0.0000 0.0863 x2
10 Si 0.1842 0.5000 0.5406 x2
11 Si 0.3260 0.0000 0.1868 x2
12 Si 0.3741 0.5000 0.0818 x2
13 Si 0.4157 0.5000 0.6554 x2
14 Si 0.4315 0.0000 0.4913 x2

Calculated powder XRD pattern of Mg4Si7 for Cu Ka, from a structure optimized by DFT (GGA-PBE).
Peak positions follow from Bragg's law for the DFT cell and can differ from measured ones.

Most intense lines, 2θ from 10° to 90°, sorted by position:
2theta  I (rel.)
38.13  32.8
38.43  41.0
39.28  23.7
39.61  100.0
40.06  33.8
40.53  9.1
40.96  55.9
58.05  14.3
58.64  12.4
64.23  9.1
73.70  15.2
79.04  8.8

Structural model:
Cell lengths 4.4065, 5.8027, 14.7815 Å; angles 91.11, 98.54, 90.00 degrees
Space group P1 (No. 1)
Asymmetric unit:
1 Mg 0.0000 0.0000 0.0000 x1
2 Mg 0.0110 0.5094 0.0339 x1
3 Mg 0.2666 0.5162 0.5214 x1
4 Mg 0.2850 0.0136 0.5648 x1
5 Mg 0.4535 0.2678 0.9101 x1
6 Mg 0.6404 0.5060 0.2805 x1
7 Mg 0.8924 0.0271 0.7836 x1
8 Mg 0.9099 0.5343 0.8207 x1
9 Si 0.0841 0.7976 0.1914 x1
10 Si 0.0935 0.2295 0.1915 x1
11 Si 0.1826 0.7984 0.3651 x1
12 Si 0.1910 0.2221 0.3646 x1
13 Si 0.3581 0.3123 0.7154 x1
14 Si 0.3639 0.7321 0.7219 x1
15 Si 0.4537 0.7700 0.9051 x1
16 Si 0.5431 0.8013 0.1026 x1
17 Si 0.5477 0.2343 0.1053 x1
18 Si 0.6467 0.0022 0.2761 x1
19 Si 0.7317 0.2277 0.4571 x1
20 Si 0.7395 0.8019 0.4537 x1
21 Si 0.8101 0.3110 0.6271 x1
22 Si 0.8192 0.7309 0.6277 x1

Calculated powder XRD pattern of Mg4Si3 for Cu Ka, from a structure optimized by DFT (GGA-PBE).
Peak positions follow from Bragg's law for the DFT cell and can differ from measured ones.

Most intense lines, 2θ from 10° to 90°, sorted by position:
2theta  I (rel.)
19.93  36.3
32.62  74.6
34.04  97.3
36.54  66.3
37.44  100.0
37.72  33.2
38.73  26.4
39.32  46.5
42.68  27.7
42.89  37.6
43.87  28.7
45.09  27.9

Structural model:
Cell lengths 5.0899, 7.1229, 8.5418 Å; angles 81.30, 76.02, 73.26 degrees
Space group P1 (No. 1)
Asymmetric unit:
1 Mg 0.0000 0.0000 0.0000 x1
2 Mg 0.0035 0.6521 0.3783 x1
3 Mg 0.1956 0.2430 0.2363 x1
4 Mg 0.4976 0.6811 0.8182 x1
5 Mg 0.5064 0.8165 0.1823 x1
6 Mg 0.5545 0.4327 0.4850 x1
7 Mg 0.6624 0.4199 0.0878 x1
8 Mg 0.9741 0.8749 0.6628 x1
9 Si 0.0568 0.6116 0.0612 x1
10 Si 0.1177 0.2670 0.5518 x1
11 Si 0.4293 0.0904 0.7762 x1
12 Si 0.4919 0.9182 0.5326 x1
13 Si 0.7398 0.0871 0.3034 x1
14 Si 0.7425 0.2853 0.7852 x1

Calculated powder XRD pattern of Mg2Si3 for Cu Ka, from a structure optimized by DFT (GGA-PBE).
Peak positions follow from Bragg's law for the DFT cell and can differ from measured ones.

Most intense lines, 2θ from 10° to 90°, sorted by position:
2theta  I (rel.)
32.04  24.8
33.19  26.7
34.84  56.4
35.32  42.6
36.01  52.1
37.86  100.0
40.33  16.3
41.09  19.6
43.44  71.5
45.32  25.3
49.66  20.3
73.53  17.5

Structural model:
Cell lengths 11.4056, 4.1664, 15.7060 Å; angles 90.00, 98.23, 90.00 degrees
Space group C2/m (No. 12)
Asymmetric unit:
1 Mg 0.0205 0.0000 0.1985 x4
2 Mg 0.1042 0.5000 0.6892 x4
3 Mg 0.1376 0.0000 0.9998 x4
4 Mg 0.1382 0.5000 0.4923 x4
5 Si 0.0196 0.5000 0.0782 x4
6 Si 0.0205 0.0000 0.5797 x4
7 Si 0.1486 0.5000 0.2918 x4
8 Si 0.1657 0.5000 0.8680 x4
9 Si 0.1781 0.0000 0.3754 x4
10 Si 0.2322 0.5000 0.1613 x4

Calculated powder XRD pattern of Mg5Si6 for Cu Ka, from a structure optimized by DFT (GGA-PBE).
Peak positions follow from Bragg's law for the DFT cell and can differ from measured ones.

Most intense lines, 2θ from 10° to 90°, sorted by position:
2theta  I (rel.)
34.88  29.3
35.40  100.0
35.93  69.4
36.21  90.7
37.68  49.2
40.29  45.8
40.67  41.9
41.77  35.9
46.71  62.1
49.12  21.3
63.63  21.6
64.44  19.8

Structural model:
Cell lengths 30.7110, 3.8892, 6.8753 Å; angles 90.00, 101.22, 90.00 degrees
Space group Cm (No. 8)
Asymmetric unit:
1 Mg 0.0000 0.0000 0.0000 x2
2 Mg 0.0320 0.5000 0.3491 x2
3 Mg 0.0754 0.5000 0.8768 x2
4 Mg 0.1634 0.0000 0.9641 x2
5 Mg 0.2021 0.0000 0.5029 x2
6 Mg 0.2420 0.5000 0.8516 x2
7 Mg 0.2811 0.0000 0.1975 x2
8 Mg 0.3196 0.0000 0.7351 x2
9 Mg 0.4049 0.5000 0.8044 x2
10 Mg 0.4469 0.5000 0.3279 x2
11 Si 0.0210 0.0000 0.6327 x2
12 Si 0.0914 0.0000 0.2017 x2
13 Si 0.0963 0.0000 0.5692 x2
14 Si 0.1401 0.5000 0.2740 x2
15 Si 0.1476 0.5000 0.6522 x2
16 Si 0.2136 0.5000 0.2017 x2
17 Si 0.2685 0.5000 0.4996 x2
18 Si 0.3363 0.5000 0.0501 x2
19 Si 0.3422 0.5000 0.4229 x2
20 Si 0.3894 0.0000 0.0956 x2
21 Si 0.3912 0.0000 0.4703 x2
22 Si 0.4689 0.0000 0.6850 x2